For ThSnAu2, DFT lattice parameters and positions (PBE) gives the calculated X-ray powder pattern in this record (Cu Ka).
No peak broadening, texture or thermal motion is included.

Most intense lines, 2θ = 10–90°, low angle first:
- hkl 1 1 1, 4.165 Å, I = 4
- hkl 2 2 0, 2.551 Å, I = 100
- hkl 3 1 1, 2.175 Å, I = 2
- hkl 4 0 0, 1.804 Å, I = 18
- hkl 3 3 1, 1.655 Å, I = 1
- hkl 4 2 2, 1.473 Å, I = 38
- hkl 5 1 1, 1.388 Å, I = 1
- hkl 4 4 0, 1.275 Å, I = 12
- hkl 5 3 1, 1.220 Å, I = 1
- hkl 6 2 0, 1.141 Å, I = 17

Crystal structure
```
data_ThSnAu2
_chemical_formula_sum 'Th4 Sn4 Au8'
_space_group_name_H-M_alt 'F m -3 m'
_space_group_IT_number 225
_space_group_name_Hall '-F 4 2 3'
_cell_length_a 7.215
_cell_length_b 7.215
_cell_length_c 7.215
_cell_angle_alpha 90.00
_cell_angle_beta 90.00
_cell_angle_gamma 90.00
loop_
_atom_site_label
_atom_site_fract_x
_atom_site_fract_y
_atom_site_fract_z
Th1 0.000 0.000 0.000
Sn1 0.000 0.000 0.500
Au1 0.250 0.250 0.250
```

For SbO2F, DFT lattice parameters and positions (PBE) gives the calculated X-ray powder pattern in this record (Cu Ka).
No peak broadening, texture or thermal motion is included.

Most intense lines, 2θ = 10–90°, low angle first:
- hkl 2 0 0, 3.980 Å, I = 60
- hkl 1 1 -1, 3.634 Å, I = 100
- hkl 1 1 1, 2.747 Å, I = 37
- hkl 2 0 -2, 2.652 Å, I = 19
- hkl 3 1 -1, 2.625 Å, I = 23
- hkl 2 2 0, 2.114 Å, I = 16
- hkl 2 2 -2, 1.817 Å, I = 14
- hkl 3 1 1, 1.780 Å, I = 16
- hkl 0 2 2, 1.682 Å, I = 13
- hkl 3 1 -3, 1.667 Å, I = 13

Crystal structure
```
data_SbO2F
_chemical_formula_sum 'Sb4 O8 F4'
_space_group_name_H-M_alt 'C 1 2/c 1'
_space_group_IT_number 15
_cell_length_a 9.288
_cell_length_b 4.989
_cell_length_c 5.316
_cell_angle_alpha 90.00
_cell_angle_beta 121.02
_cell_angle_gamma 90.00
loop_
_space_group_symop_operation_xyz
'x,y,z'
'-x,-y,-z'
'-x,y,-z+1/2'
'x,-y,z+1/2'
'x+1/2,y+1/2,z'
'-x+1/2,-y+1/2,-z'
'-x+1/2,y+1/2,-z+1/2'
'x+1/2,-y+1/2,z+1/2'
loop_
_atom_site_label
_atom_site_fract_x
_atom_site_fract_y
_atom_site_fract_z
Sb1 0.250 0.250 0.000
O1 0.186 0.072 0.255
F1 0.000 0.384 0.750
```

For Cs2KSbI6, DFT lattice parameters and positions (PBE) gives the calculated X-ray powder pattern in this record (Cu Ka).
No peak broadening, texture or thermal motion is included.

Most intense lines, 2θ = 10–90°, low angle first:
- hkl 1 1 1, 7.408 Å, I = 15
- hkl 2 2 2, 3.704 Å, I = 100
- hkl 4 0 0, 3.208 Å, I = 99
- hkl 4 4 0, 2.268 Å, I = 73
- hkl 6 2 2, 1.934 Å, I = 45
- hkl 4 4 4, 1.852 Å, I = 25
- hkl 6 6 2, 1.472 Å, I = 17
- hkl 8 4 0, 1.435 Å, I = 31
- hkl 8 4 4, 1.310 Å, I = 22
- hkl 10 2 2, 1.235 Å, I = 12

Crystal structure
```
data_Cs2KSbI6
_chemical_formula_sum 'Cs8 K4 Sb4 I24'
_space_group_name_H-M_alt 'F m -3 m'
_space_group_IT_number 225
_space_group_name_Hall '-F 4 2 3'
_cell_length_a 12.832
_cell_length_b 12.832
_cell_length_c 12.832
_cell_angle_alpha 90.00
_cell_angle_beta 90.00
_cell_angle_gamma 90.00
loop_
_atom_site_label
_atom_site_fract_x
_atom_site_fract_y
_atom_site_fract_z
Cs1 0.250 0.250 0.250
K1 0.000 0.000 0.000
Sb1 0.000 0.000 0.500
I1 0.000 0.000 0.264
```

For TbIn5Co, DFT lattice parameters and positions (PBE) gives the calculated X-ray powder pattern in this record (Cu Ka).
No peak broadening, texture or thermal motion is included.

Most intense lines, 2θ = 10–90°, low angle first:
- hkl 1 0 1, 3.914 Å, I = 22
- hkl 1 1 2, 2.508 Å, I = 100
- hkl 2 0 0, 2.212 Å, I = 35
- hkl 0 0 4, 2.098 Å, I = 14
- hkl 2 1 1, 1.926 Å, I = 6
- hkl 2 2 0, 1.564 Å, I = 11
- hkl 2 0 4, 1.522 Å, I = 20
- hkl 3 1 2, 1.327 Å, I = 26
- hkl 1 1 6, 1.277 Å, I = 10
- hkl 2 2 4, 1.254 Å, I = 10

Crystal structure
```
data_TbIn5Co
_chemical_formula_sum 'Tb1 In5 Co1'
_space_group_name_H-M_alt 'P 4/m m m'
_space_group_IT_number 123
_space_group_name_Hall '-P 4 2'
_cell_length_a 4.424
_cell_length_b 4.424
_cell_length_c 8.391
_cell_angle_alpha 90.00
_cell_angle_beta 90.00
_cell_angle_gamma 90.00
loop_
_atom_site_label
_atom_site_fract_x
_atom_site_fract_y
_atom_site_fract_z
Tb1 0.000 0.000 0.000
In1 0.000 0.500 0.261
In2 0.500 0.500 0.500
Co1 0.000 0.000 0.500
```

For PuGa4, DFT lattice parameters and positions (PBE) gives the calculated X-ray powder pattern in this record (Cu Ka).
No peak broadening, texture or thermal motion is included.

Most intense lines, 2θ = 10–90°, low angle first:
- hkl 0 1 1, 5.605 Å, I = 24
- hkl 1 0 1, 4.122 Å, I = 20
- hkl 0 1 3, 3.704 Å, I = 23
- hkl 1 1 2, 3.147 Å, I = 41
- hkl 1 2 1, 2.457 Å, I = 100
- hkl 1 0 5, 2.344 Å, I = 91
- hkl 0 2 4, 2.301 Å, I = 50
- hkl 2 0 0, 2.157 Å, I = 37
- hkl 2 2 4, 1.574 Å, I = 31
- hkl 1 4 5, 1.281 Å, I = 25

Crystal structure
```
data_PuGa4
_chemical_formula_sum 'Pu4 Ga16'
_space_group_name_H-M_alt 'I m m a'
_space_group_IT_number 74
_space_group_name_Hall '-I 2b 2'
_cell_length_a 4.314
_cell_length_b 6.120
_cell_length_c 13.957
_cell_angle_alpha 90.00
_cell_angle_beta 90.00
_cell_angle_gamma 90.00
loop_
_atom_site_label
_atom_site_fract_x
_atom_site_fract_y
_atom_site_fract_z
Pu1 0.000 0.250 0.109
Ga1 0.000 0.000 0.500
Ga2 0.000 0.014 0.699
Ga3 0.000 0.250 0.896
```

For NpS, DFT lattice parameters and positions (PBE) gives the calculated X-ray powder pattern in this record (Cu Ka).
No peak broadening, texture or thermal motion is included.

Most intense lines, 2θ = 10–90°, low angle first:
- hkl 1 1 1, 3.191 Å, I = 100
- hkl 2 0 0, 2.763 Å, I = 94
- hkl 2 2 0, 1.954 Å, I = 69
- hkl 3 1 1, 1.666 Å, I = 50
- hkl 2 2 2, 1.595 Å, I = 24
- hkl 4 0 0, 1.382 Å, I = 11
- hkl 3 3 1, 1.268 Å, I = 21
- hkl 4 2 0, 1.236 Å, I = 32
- hkl 4 2 2, 1.128 Å, I = 25

Crystal structure
```
data_NpS
_chemical_formula_sum 'Np4 S4'
_space_group_name_H-M_alt 'F m -3 m'
_space_group_IT_number 225
_space_group_name_Hall '-F 4 2 3'
_cell_length_a 5.527
_cell_length_b 5.527
_cell_length_c 5.527
_cell_angle_alpha 90.00
_cell_angle_beta 90.00
_cell_angle_gamma 90.00
loop_
_atom_site_label
_atom_site_fract_x
_atom_site_fract_y
_atom_site_fract_z
Np1 0.000 0.000 0.000
S1 0.000 0.000 0.500
```

For KAsO2F4, DFT lattice parameters and positions (PBE) gives the calculated X-ray powder pattern in this record (Cu Ka).
No peak broadening, texture or thermal motion is included.

Most intense lines, 2θ = 10–90°, low angle first:
- hkl 0 2 1, 5.028 Å, I = 93
- hkl 1 1 0, 4.993 Å, I = 43
- hkl 1 1 -1, 4.092 Å, I = 100
- hkl 1 1 1, 3.898 Å, I = 60
- hkl 0 4 0, 3.846 Å, I = 60
- hkl 1 3 0, 3.678 Å, I = 29
- hkl 0 0 2, 3.322 Å, I = 74
- hkl 1 3 1, 3.168 Å, I = 53
- hkl 2 4 0, 2.176 Å, I = 60
- hkl 1 1 -3, 2.064 Å, I = 30

Crystal structure
```
data_KAsO2F4
_chemical_formula_sum 'K4 As4 O8 F16'
_space_group_name_H-M_alt 'C 1 2/c 1'
_space_group_IT_number 15
_cell_length_a 5.286
_cell_length_b 15.384
_cell_length_c 6.654
_cell_angle_alpha 90.00
_cell_angle_beta 93.07
_cell_angle_gamma 90.00
loop_
_space_group_symop_operation_xyz
'x,y,z'
'-x,-y,-z'
'-x,y,-z+1/2'
'x,-y,z+1/2'
'x+1/2,y+1/2,z'
'-x+1/2,-y+1/2,-z'
'-x+1/2,y+1/2,-z+1/2'
'x+1/2,-y+1/2,z+1/2'
loop_
_atom_site_label
_atom_site_fract_x
_atom_site_fract_y
_atom_site_fract_z
K1 0.000 0.117 0.250
As1 0.000 0.372 0.250
O1 0.058 0.374 0.986
F1 0.229 0.289 0.315
F2 0.242 0.455 0.273
```

For ErNbO4, DFT lattice parameters and positions (PBE) gives the calculated X-ray powder pattern in this record (Cu Ka).
No peak broadening, texture or thermal motion is included.

Most intense lines, 2θ = 10–90°, low angle first:
- hkl 0 2 1, 3.134 Å, I = 100
- hkl 2 2 -1, 2.991 Å, I = 88
- hkl 0 4 0, 2.758 Å, I = 23
- hkl 2 0 0, 2.644 Å, I = 21
- hkl 2 0 -2, 2.559 Å, I = 17
- hkl 2 4 0, 1.908 Å, I = 28
- hkl 0 0 2, 1.904 Å, I = 16
- hkl 2 4 -2, 1.876 Å, I = 28
- hkl 2 2 1, 1.626 Å, I = 16
- hkl 4 2 -1, 1.566 Å, I = 22

Crystal structure
```
data_ErNbO4
_chemical_formula_sum 'Er4 Nb4 O16'
_space_group_name_H-M_alt 'C 1 2/c 1'
_space_group_IT_number 15
_cell_length_a 7.124
_cell_length_b 11.032
_cell_length_c 5.130
_cell_angle_alpha 90.00
_cell_angle_beta 132.08
_cell_angle_gamma 90.00
loop_
_space_group_symop_operation_xyz
'x,y,z'
'-x,-y,-z'
'-x,y,-z+1/2'
'x,-y,z+1/2'
'x+1/2,y+1/2,z'
'-x+1/2,-y+1/2,-z'
'-x+1/2,y+1/2,-z+1/2'
'x+1/2,-y+1/2,z+1/2'
loop_
_atom_site_label
_atom_site_fract_x
_atom_site_fract_y
_atom_site_fract_z
Er1 0.000 0.128 0.250
Nb1 0.000 0.391 0.750
O1 0.163 0.289 0.660
O2 0.248 0.032 0.794
```

For Er2Cr2C3, DFT lattice parameters and positions (PBE) gives the calculated X-ray powder pattern in this record (Cu Ka).
No peak broadening, texture or thermal motion is included.

Most intense lines, 2θ = 10–90°, low angle first:
- hkl 2 0 -1, 4.287 Å, I = 33
- hkl 2 0 1, 3.219 Å, I = 42
- hkl 1 1 0, 3.165 Å, I = 39
- hkl 2 0 -2, 2.667 Å, I = 46
- hkl 1 1 1, 2.617 Å, I = 100
- hkl 4 0 -1, 2.561 Å, I = 22
- hkl 4 0 0, 2.509 Å, I = 37
- hkl 3 1 -1, 2.335 Å, I = 89
- hkl 1 1 -2, 2.124 Å, I = 26
- hkl 5 1 0, 1.720 Å, I = 21

Crystal structure
```
data_Er2Cr2C3
_chemical_formula_sum 'Er4 Cr4 C6'
_space_group_name_H-M_alt 'C 1 2/m 1'
_space_group_IT_number 12
_cell_length_a 10.452
_cell_length_b 3.336
_cell_length_c 5.508
_cell_angle_alpha 90.00
_cell_angle_beta 106.22
_cell_angle_gamma 90.00
loop_
_space_group_symop_operation_xyz
'x,y,z'
'-x,-y,-z'
'-x,y,-z'
'x,-y,z'
'x+1/2,y+1/2,z'
'-x+1/2,-y+1/2,-z'
'-x+1/2,y+1/2,-z'
'x+1/2,-y+1/2,z'
loop_
_atom_site_label
_atom_site_fract_x
_atom_site_fract_y
_atom_site_fract_z
Er1 0.108 0.000 0.316
Cr1 0.155 0.500 0.887
C1 0.000 0.500 0.000
C2 0.218 0.000 0.767
```

For KMg14CO16, DFT lattice parameters and positions (PBE) gives the calculated X-ray powder pattern in this record (Cu Ka).
No peak broadening, texture or thermal motion is included.

Most intense lines, 2θ = 10–90°, low angle first:
- hkl 1 2 2, 2.509 Å, I = 38
- hkl 0 0 4, 2.269 Å, I = 98
- hkl 2 0 0, 2.228 Å, I = 100
- hkl 0 4 0, 2.043 Å, I = 63
- hkl 2 0 4, 1.590 Å, I = 54
- hkl 0 4 4, 1.518 Å, I = 39
- hkl 2 4 0, 1.506 Å, I = 41
- hkl 3 2 2, 1.334 Å, I = 8
- hkl 2 4 4, 1.255 Å, I = 37
- hkl 1 6 2, 1.252 Å, I = 8

Crystal structure
```
data_KMg14CO16
_chemical_formula_sum 'K1 Mg14 C1 O16'
_space_group_name_H-M_alt 'P m m m'
_space_group_IT_number 47
_cell_length_a 4.456
_cell_length_b 8.173
_cell_length_c 9.077
_cell_angle_alpha 90.00
_cell_angle_beta 90.00
_cell_angle_gamma 90.00
loop_
_space_group_symop_operation_xyz
'x,y,z'
'-x,-y,-z'
'-x,-y,z'
'x,y,-z'
'x,-y,-z'
'-x,y,z'
'-x,y,-z'
'x,-y,z'
loop_
_atom_site_label
_atom_site_fract_x
_atom_site_fract_y
_atom_site_fract_z
K1 0.000 0.000 0.000
Mg1 0.000 0.000 0.500
Mg2 0.000 0.255 0.271
Mg3 0.000 0.500 0.500
Mg4 0.500 0.000 0.253
Mg5 0.500 0.251 0.500
Mg6 0.500 0.259 0.000
Mg7 0.500 0.500 0.249
C1 0.000 0.500 0.000
O1 0.000 0.000 0.273
O2 0.000 0.249 0.500
O3 0.000 0.339 0.000
O4 0.000 0.500 0.278
O5 0.500 0.000 0.000
O6 0.500 0.000 0.500
O7 0.500 0.250 0.244
O8 0.500 0.500 0.000
O9 0.500 0.500 0.500
```